[1]
Structure and theoretical powder diffractogram of LiCaH2SeF (a crystal structure in Alexandria, relaxed with PBE; Cu Kα).
Neutral-atom scattering factors, no anomalous dispersion.

Main lines, in order of falling intensity (10° ≤ 2θ ≤ 80°):
two_theta  Rel. int.
14.27  100
36.08  89
26.78  67
37.62  48
32.96  37
36.86  36
27.80  29
60.90  21
23.73  17
46.03  17

```
data_LiCaH2SeF
_chemical_formula_sum 'Li1 Ca1 H2 Se1 F1'
_cell_length_a 3.750
_cell_length_b 3.943
_cell_length_c 6.206
_cell_angle_alpha 90.00
_cell_angle_beta 90.00
_cell_angle_gamma 90.00
_symmetry_space_group_name_H-M 'P m m 2'
_symmetry_Int_Tables_number 25
_symmetry_space_group_name_Hall 'P 2 -2'
loop_
_atom_site_label
_atom_site_fract_x
_atom_site_fract_y
_atom_site_fract_z
_atom_site_occupancy
Li1 0.000 0.000 0.000 1
Ca1 0.500 0.000 0.531 1
H1 0.399 0.500 0.239 1
Se1 0.000 0.500 0.745 1
F1 0.000 0.000 0.295 1
```

[2]
Structure and theoretical powder diffractogram of La2PrIn3Hg6 (a crystal structure in Alexandria, relaxed with PBE; Cu Kα).
Neutral-atom scattering factors, no anomalous dispersion.

Main lines, in order of falling intensity (10° ≤ 2θ ≤ 80°):
two_theta  Rel. int.
41.46  100
29.32  94
36.86  93
33.91  90
31.84  79
56.67  53
36.42  53
20.84  52
55.24  38
34.84  35

```
data_La2PrIn3Hg6
_chemical_formula_sum 'La2 Pr1 In3 Hg6'
_cell_length_a 4.356
_cell_length_b 4.356
_cell_length_c 20.601
_cell_angle_alpha 90.00
_cell_angle_beta 90.00
_cell_angle_gamma 90.00
_symmetry_space_group_name_H-M 'P 4/m m m'
_symmetry_Int_Tables_number 123
_symmetry_space_group_name_Hall '-P 4 2'
loop_
_atom_site_label
_atom_site_fract_x
_atom_site_fract_y
_atom_site_fract_z
_atom_site_occupancy
La1 0.000 0.000 0.215 1
Pr1 0.000 0.000 0.500 1
In1 0.500 0.500 0.000 1
In2 0.500 0.500 0.280 1
Hg1 0.000 0.500 0.384 1
Hg2 0.500 0.500 0.136 1
```

[3]
Structure and theoretical powder diffractogram of TlPd6Pt3 (a crystal structure in Alexandria, relaxed with PBE; Cu Kα).
Neutral-atom scattering factors, no anomalous dispersion.

Main lines, in order of falling intensity (10° ≤ 2θ ≤ 80°):
two_theta  Rel. int.
40.21  100
25.69  59
39.32  45
46.18  31
46.70  31
31.57  20
38.03  17
41.51  14
32.85  13
40.37  13

```
data_TlPd6Pt3
_chemical_formula_sum 'Tl2 Pd12 Pt6'
_cell_length_a 13.749
_cell_length_b 5.452
_cell_length_c 4.765
_cell_angle_alpha 90.00
_cell_angle_beta 90.49
_cell_angle_gamma 90.00
_symmetry_space_group_name_H-M 'C 1 2/m 1'
_symmetry_Int_Tables_number 12
_symmetry_space_group_name_Hall '-C 2y'
loop_
_atom_site_label
_atom_site_fract_x
_atom_site_fract_y
_atom_site_fract_z
_atom_site_occupancy
Tl1 0.000 0.000 0.000 1
Pd1 0.155 0.500 0.832 1
Pd2 0.156 0.247 0.339 1
Pt1 0.000 0.500 0.500 1
Pt2 0.182 0.000 0.833 1
```

[4]
Structure and theoretical powder diffractogram of Tm2Pd5 (a crystal structure in Alexandria, relaxed with PBE; Cu Kα).
Neutral-atom scattering factors, no anomalous dispersion.

Main lines, in order of falling intensity (10° ≤ 2θ ≤ 80°):
two_theta  Rel. int.
40.44  100
38.64  98
42.00  94
76.89  38
34.00  31
39.97  31
63.23  28
37.83  25
70.06  22
63.50  18

```
data_Tm2Pd5
_chemical_formula_sum 'Tm8 Pd20'
_cell_length_a 6.877
_cell_length_b 12.675
_cell_length_c 5.861
_cell_angle_alpha 90.00
_cell_angle_beta 90.00
_cell_angle_gamma 90.00
_symmetry_space_group_name_H-M 'C c c m'
_symmetry_Int_Tables_number 66
_symmetry_space_group_name_Hall '-C 2 2c'
loop_
_atom_site_label
_atom_site_fract_x
_atom_site_fract_y
_atom_site_fract_z
_atom_site_occupancy
Tm1 0.195 0.103 0.000 1
Pd1 0.000 0.267 0.250 1
Pd2 0.000 0.500 0.250 1
Pd3 0.226 0.123 0.500 1
```

[5]
Structure and theoretical powder diffractogram of YZnTeO6 (a crystal structure in Alexandria, relaxed with PBE; Cu Kα).
Neutral-atom scattering factors, no anomalous dispersion.

Main lines, in order of falling intensity (10° ≤ 2θ ≤ 80°):
two_theta  Rel. int.
26.73  100
50.93  49
34.24  40
43.96  24
56.88  23
18.03  18
61.32  16
38.96  16
21.57  12
59.98  9

```
data_YZnTeO6
_chemical_formula_sum 'Y2 Zn2 Te2 O12'
_cell_length_a 5.2373
_cell_length_b 5.2373
_cell_length_c 9.8406
_cell_angle_alpha 90.00
_cell_angle_beta 90.00
_cell_angle_gamma 120.00
_symmetry_space_group_name_H-M 'P -3 1 c'
_symmetry_Int_Tables_number 163
_symmetry_space_group_name_Hall '-P 3 2c'
loop_
_atom_site_label
_atom_site_fract_x
_atom_site_fract_y
_atom_site_fract_z
_atom_site_occupancy
Y1 0.0000 0.0000 0.0000 1
Zn1 0.3333 0.6667 0.2500 1
Te1 0.3333 0.6667 0.7500 1
O1 0.0203 0.3685 0.6379 1
```

[6]
Structure and theoretical powder diffractogram of Li3Ag2Bi (a crystal structure in Alexandria, relaxed with PBE; Cu Kα).
Neutral-atom scattering factors, no anomalous dispersion.

Main lines, in order of falling intensity (10° ≤ 2θ ≤ 80°):
two_theta  Rel. int.
26.99  100
38.43  45
38.65  44
47.59  21
62.75  18
63.05  17
69.65  15
55.64  15
23.28  9
69.51  8

```
data_Li3Ag2Bi
_chemical_formula_sum 'Li6 Ag4 Bi2'
_cell_length_a 4.6848
_cell_length_b 4.6848
_cell_length_c 11.3836
_cell_angle_alpha 90.00
_cell_angle_beta 90.00
_cell_angle_gamma 120.00
_symmetry_space_group_name_H-M 'P -3 m 1'
_symmetry_Int_Tables_number 164
_symmetry_space_group_name_Hall '-P 3 2"'
loop_
_atom_site_label
_atom_site_fract_x
_atom_site_fract_y
_atom_site_fract_z
_atom_site_occupancy
Li1 0.0000 0.0000 0.2432 1
Li2 0.3333 0.6667 0.4153 1
Li3 0.3333 0.6667 0.9230 1
Ag1 0.0000 0.0000 0.0000 1
Ag2 0.0000 0.0000 0.5000 1
Ag3 0.3333 0.6667 0.1585 1
Bi1 0.3333 0.6667 0.6726 1
```

[7]
Structure and theoretical powder diffractogram of LiNdF4 (a crystal structure in Alexandria, relaxed with PBE; Cu Kα).
Neutral-atom scattering factors, no anomalous dispersion.

Main lines, in order of falling intensity (10° ≤ 2θ ≤ 80°):
two_theta  Rel. int.
14.95  100
30.42  50
40.46  41
24.78  36
26.34  36
47.30  23
29.06  21
53.72  19
44.60  17
39.41  15

```
data_LiNdF4
_chemical_formula_sum 'Li2 Nd2 F8'
_cell_length_a 3.836
_cell_length_b 7.185
_cell_length_c 5.927
_cell_angle_alpha 90.00
_cell_angle_beta 90.00
_cell_angle_gamma 90.00
_symmetry_space_group_name_H-M 'P m m n'
_symmetry_Int_Tables_number 59
loop_
_symmetry_equiv_pos_as_xyz
'x,y,z'
'-x,-y,-z'
'-x+1/2,-y+1/2,z'
'x+1/2,y+1/2,-z'
'x+1/2,-y,-z'
'-x+1/2,y,z'
'-x,y+1/2,-z'
'x,-y+1/2,z'
loop_
_atom_site_label
_atom_site_fract_x
_atom_site_fract_y
_atom_site_fract_z
_atom_site_occupancy
Li1 0.250 0.250 0.065 1
Nd1 0.250 0.750 0.493 1
F1 0.250 0.063 0.353 1
F2 0.250 0.250 0.746 1
F3 0.250 0.750 0.882 1
```

[8]
Structure and theoretical powder diffractogram of Pu4P3Cl (a crystal structure in Alexandria, relaxed with PBE; Cu Kα).
Neutral-atom scattering factors, no anomalous dispersion.

Main lines, in order of falling intensity (10° ≤ 2θ ≤ 80°):
two_theta  Rel. int.
31.63  100
27.28  82
53.70  41
45.27  38
45.41  37
27.39  27
56.27  20
74.99  17
75.20  17
53.85  13

```
data_Pu4P3Cl
_chemical_formula_sum 'Pu4 P3 Cl1'
_cell_length_a 6.910
_cell_length_b 4.007
_cell_length_c 6.938
_cell_angle_alpha 90.00
_cell_angle_beta 109.51
_cell_angle_gamma 90.00
_symmetry_space_group_name_H-M 'P 1 2/m 1'
_symmetry_Int_Tables_number 10
_symmetry_space_group_name_Hall '-P 2y'
loop_
_atom_site_label
_atom_site_fract_x
_atom_site_fract_y
_atom_site_fract_z
_atom_site_occupancy
Pu1 0.242 0.000 0.243 1
Pu2 0.247 0.500 0.753 1
P1 0.000 0.000 0.500 1
P2 0.000 0.500 0.000 1
P3 0.500 0.000 0.000 1
Cl1 0.500 0.500 0.500 1
```

[9]
Structure and theoretical powder diffractogram of Te7Pd20 (a crystal structure in Alexandria, relaxed with PBE; Cu Kα).
Neutral-atom scattering factors, no anomalous dispersion.

Main lines, in order of falling intensity (10° ≤ 2θ ≤ 80°):
two_theta  Rel. int.
39.05  100
39.73  94
38.05  18
44.72  16
38.57  15
35.94  15
46.63  13
35.42  11
41.02  10
70.28  10

```
data_Te7Pd20
_chemical_formula_sum 'Te21 Pd60'
_cell_length_a 12.0042
_cell_length_b 12.0042
_cell_length_c 11.3972
_cell_angle_alpha 90.00
_cell_angle_beta 90.00
_cell_angle_gamma 120.00
_symmetry_space_group_name_H-M 'R -3'
_symmetry_Int_Tables_number 148
_symmetry_space_group_name_Hall '-R 3'
loop_
_atom_site_label
_atom_site_fract_x
_atom_site_fract_y
_atom_site_fract_z
_atom_site_occupancy
Te1 0.0000 0.0000 0.0000 1
Te2 0.0367 0.8052 0.6854 1
Pd1 0.0000 0.0000 0.3808 1
Pd2 0.0062 0.7729 0.4538 1
Pd3 0.0335 0.8565 0.1881 1
Pd4 0.0497 0.7955 0.9390 1
```